The following is a computed powder X-ray diffraction pattern of U2In8Rh. It was derived from a cell relaxed with GGA-PBE, using Cu Kα.
Peak positions follow from Bragg's law for the DFT cell and can differ from measured ones.

Largest 12 diffraction maxima, by angle, 10° ≤ 2θ ≤ 90°:
| d (Å) | Rel. int. |
| --- | --- |
| 4.670 | 14 |
| 3.056 | 9 |
| 2.900 | 36 |
| 2.557 | 100 |
| 2.425 | 17 |
| 2.335 | 53 |
| 1.682 | 22 |
| 1.651 | 18 |
| 1.435 | 8 |
| 1.387 | 29 |
| 1.378 | 14 |
| 1.365 | 11 |

Atomic structure:
Unit cell a=4.670 b=4.670 c=12.127 alpha=90.00 beta=90.00 gamma=90.00
Positions (direct):
U 0.000 0.000 0.191
U 0.000 0.000 0.809
In 0.000 0.500 0.000
In 0.000 0.500 0.376
In 0.000 0.500 0.624
In 0.500 0.000 0.000
In 0.500 0.000 0.376
In 0.500 0.000 0.624
In 0.500 0.500 0.191
In 0.500 0.500 0.809
Rh 0.000 0.000 0.500